Structure and calculated PXRD pattern of CoHO2 (a PBE+U-relaxed structure; Cu Kα (weighted mean of Kα1 and Kα2)).

Crystal structure
```
data_CoHO2
_space_group_name_H-M_alt 'R -3 m'
_space_group_IT_number 166
_space_group_name_Hall '-R 3 2"'
_cell_length_a 2.8827
_cell_length_b 2.8827
_cell_length_c 13.0397
_cell_angle_alpha 90.00
_cell_angle_beta 90.00
_cell_angle_gamma 120.00
loop_
_atom_site_label
_atom_site_type_symbol
_atom_site_fract_x
_atom_site_fract_y
_atom_site_fract_z
Co1 Co 0.0000 0.0000 0.0000
H1 H 0.0000 0.0000 0.5000
O1 O 0.0000 0.0000 0.4073
```

Largest 10 diffraction maxima, sorted by position, 10 to 90 degrees two-theta:
- 4.347 Å, rel. 100
- 2.452 Å, rel. 16
- 2.331 Å, rel. 74
- 1.982 Å, rel. 13
- 1.803 Å, rel. 45
- 1.493 Å, rel. 17
- 1.441 Å, rel. 20
- 1.368 Å, rel. 18
- 1.156 Å, rel. 8
- 1.126 Å, rel. 8



Structure and calculated PXRD pattern of CoHO2 (a PBE+U-relaxed structure; Cu Kα (weighted mean of Kα1 and Kα2)).

Crystal structure
```
data_CoHO2
_space_group_name_H-M_alt 'P -1'
_space_group_IT_number 2
_space_group_name_Hall '-P 1'
_cell_length_a 2.9727
_cell_length_b 3.0169
_cell_length_c 9.4195
_cell_angle_alpha 90.54
_cell_angle_beta 97.73
_cell_angle_gamma 119.49
loop_
_atom_site_label
_atom_site_type_symbol
_atom_site_fract_x
_atom_site_fract_y
_atom_site_fract_z
Co1 Co 0.0000 0.0000 0.0000
Co2 Co 0.0000 0.5000 0.5000
H1 H 0.4676 0.2300 0.7224
O1 O 0.3959 0.1938 0.6146
O2 O 0.3958 0.7073 0.0989
```

Largest 10 diffraction maxima, sorted by position, 10 to 90 degrees two-theta:
- 4.649 Å, rel. 100
- 2.463 Å, rel. 22
- 2.439 Å, rel. 21
- 2.407 Å, rel. 22
- 1.918 Å, rel. 15
- 1.913 Å, rel. 15
- 1.875 Å, rel. 14
- 1.508 Å, rel. 13
- 1.486 Å, rel. 6
- 1.457 Å, rel. 6



Structure and calculated PXRD pattern of CoHO2 (a PBE+U-relaxed structure; Cu Kα (weighted mean of Kα1 and Kα2)).

Crystal structure
```
data_CoHO2
_space_group_name_H-M_alt 'P 1'
_space_group_IT_number 1
_space_group_name_Hall 'P 1'
_cell_length_a 2.9407
_cell_length_b 3.0277
_cell_length_c 18.0498
_cell_angle_alpha 91.33
_cell_angle_beta 91.19
_cell_angle_gamma 117.56
loop_
_atom_site_label
_atom_site_type_symbol
_atom_site_fract_x
_atom_site_fract_y
_atom_site_fract_z
Co1 Co 0.0000 0.0000 0.0000
Co2 Co 0.2427 0.4951 0.7518
Co3 Co 0.4931 0.9810 0.5027
Co4 Co 0.7546 0.4927 0.2510
H1 H 0.1204 0.2537 0.3851
H2 H 0.3948 0.7760 0.1333
H3 H 0.6149 0.2395 0.8852
H4 H 0.8427 0.7194 0.6369
O1 O 0.0805 0.1846 0.3049
O2 O 0.1450 0.3004 0.4433
O3 O 0.3655 0.7151 0.0521
O4 O 0.4076 0.8121 0.1914
O5 O 0.6079 0.2101 0.8042
O6 O 0.6287 0.2757 0.9434
O7 O 0.8170 0.6729 0.5570
O8 O 0.8714 0.7710 0.6953
```

Largest 10 diffraction maxima, sorted by position, 10 to 90 degrees two-theta:
- 4.508 Å, rel. 100
- 2.546 Å, rel. 29
- 2.422 Å, rel. 25
- 2.348 Å, rel. 23
- 1.966 Å, rel. 19
- 1.865 Å, rel. 15
- 1.813 Å, rel. 14
- 1.545 Å, rel. 8
- 1.508 Å, rel. 7
- 1.470 Å, rel. 7



What did the third record say?
Structure and calculated PXRD pattern of CoHO2 (a PBE+U-relaxed structure; Cu Kα (weighted mean of Kα1 and Kα2)).

Crystal structure
```
data_CoHO2
_space_group_name_H-M_alt 'P 1'
_space_group_IT_number 1
_space_group_name_Hall 'P 1'
_cell_length_a 2.9407
_cell_length_b 3.0277
_cell_length_c 18.0498
_cell_angle_alpha 91.33
_cell_angle_beta 91.19
_cell_angle_gamma 117.56
loop_
_atom_site_label
_atom_site_type_symbol
_atom_site_fract_x
_atom_site_fract_y
_atom_site_fract_z
Co1 Co 0.0000 0.0000 0.0000
Co2 Co 0.2427 0.4951 0.7518
Co3 Co 0.4931 0.9810 0.5027
Co4 Co 0.7546 0.4927 0.2510
H1 H 0.1204 0.2537 0.3851
H2 H 0.3948 0.7760 0.1333
H3 H 0.6149 0.2395 0.8852
H4 H 0.8427 0.7194 0.6369
O1 O 0.0805 0.1846 0.3049
O2 O 0.1450 0.3004 0.4433
O3 O 0.3655 0.7151 0.0521
O4 O 0.4076 0.8121 0.1914
O5 O 0.6079 0.2101 0.8042
O6 O 0.6287 0.2757 0.9434
O7 O 0.8170 0.6729 0.5570
O8 O 0.8714 0.7710 0.6953
```

Largest 10 diffraction maxima, sorted by position, 10 to 90 degrees two-theta:
- 4.508 Å, rel. 100
- 2.546 Å, rel. 29
- 2.422 Å, rel. 25
- 2.348 Å, rel. 23
- 1.966 Å, rel. 19
- 1.865 Å, rel. 15
- 1.813 Å, rel. 14
- 1.545 Å, rel. 8
- 1.508 Å, rel. 7
- 1.470 Å, rel. 7



Question: What is the formula in the first record?
Answer: CoHO2